Starting from a cell relaxed with GGA-PBE, the X-ray diffraction stick pattern of Sm2Co7 was computed for Cu Kα.

Cell and atoms:
```
data_Sm2Co7
_chemical_formula_sum 'Sm8 Co28'
_symmetry_space_group_name_H-M 'P 63/m m c'
_symmetry_Int_Tables_number 194
_symmetry_space_group_name_Hall '-P 6c 2c'
_cell_length_a 4.9840
_cell_length_b 4.9840
_cell_length_c 24.1453
_cell_angle_alpha 90.00
_cell_angle_beta 90.00
_cell_angle_gamma 120.00
loop_
_atom_site_label
_atom_site_type_symbol
_atom_site_fract_x
_atom_site_fract_y
_atom_site_fract_z
Sm1 Sm 0.3333 0.6667 0.0276
Sm2 Sm 0.3333 0.6667 0.1727
Co1 Co 0.0000 0.0000 0.0000
Co2 Co 0.0000 0.0000 0.1680
Co3 Co 0.1659 0.3318 0.5875
Co4 Co 0.1658 0.3317 0.7500
Co5 Co 0.3333 0.6667 0.6685
```

Peak list (6 most intense, 2θ from 10° to 80°, sorted by position)
d_spacing, 2θ (°), I/Imax
2.695, 33.25, 61
2.492, 36.04, 48
2.150, 42.03, 31
2.119, 42.68, 100
1.355, 69.37, 22
1.246, 76.44, 20